Starting from a structure optimized by DFT (GGA-PBE), the powder XRD pattern of Ce2CuGe3 was simulated for Cu Kα, 1.54184 Å.
Intensities are scaled so that the largest is 100.

Crystal structure
Cell lengths 4.2774, 4.2774, 8.0214 Å; angles 90.00, 90.00, 120.00 degrees
Atoms (fractional coordinates):
Ce (0.0000, 0.0000, 0.2469)
Ce (0.0000, 0.0000, 0.7531)
Cu (0.3333, 0.6667, 0.0000)
Ge (0.3333, 0.6667, 0.5000)
Ge (0.6667, 0.3333, 0.0000)
Ge (0.6667, 0.3333, 0.5000)

Peak list (10 most intense, 5 to 70 degrees two-theta, in order of rising 2θ)
- 2θ = 24.02°, I 10, hkl 1 0 0
- 2θ = 32.91°, I 100, hkl 1 0 2
- 2θ = 42.26°, I 45, hkl 1 1 0
- 2θ = 45.22°, I 12, hkl 0 0 4
- 2θ = 49.19°, I 2, hkl 2 0 0
- 2θ = 51.84°, I 3, hkl 1 0 4
- 2θ = 54.58°, I 23, hkl 2 0 2
- 2θ = 63.60°, I 26, hkl 1 1 4
- 2θ = 66.82°, I 1, hkl 2 1 0
- 2θ = 69.03°, I 1, hkl 2 0 4